No. 1
Starting from a structure optimized by DFT (GGA-PBE), the XRD peak list of UGePd was simulated for Cu Kα (weighted mean of Kα1 and Kα2).
Kinematic intensities with the Lorentz-polarization factor, no thermal factor.

Structure:
Unit cell a=6.693 b=4.516 c=7.717 alpha=90.00 beta=90.00 gamma=90.00
Space group Pnma (No. 62)
Asymmetric unit:
U 0.004 0.250 0.217 [4 per cell]
Ge 0.215 0.250 0.588 [4 per cell]
Pd 0.198 0.750 0.419 [4 per cell]

Principal peaks in the range 2θ from 5° to 70°, most intense first:
2theta  d/Å  I/Imax  hkl
35.35  2.539  100.0  2 1 1
40.35  2.235  52.1  0 1 3
35.51  2.528  44.0  2 0 2
39.93  2.258  33.6  0 2 0
54.48  1.684  29.2  2 2 2
22.82  3.897  26.8  0 1 1
33.35  2.687  24.6  1 1 2
69.57  1.351  17.5  2 3 1
54.90  1.672  15.9  4 0 0
67.45  1.389  14.1  3 1 4
23.05  3.859  10.6  0 0 2
42.16  2.143  9.2  3 0 1


No. 2
Starting from a structure optimized by DFT (GGA-PBE), the XRD peak list of Na2MgH8S2O12 was simulated for Cu Kα (weighted mean of Kα1 and Kα2).
Kinematic intensities with the Lorentz-polarization factor, no thermal factor.

Structure:
Unit cell a=5.563 b=8.366 c=11.224 alpha=90.00 beta=100.31 gamma=90.00
Space group P2_1/c (No. 14)
Asymmetric unit:
Na 0.123 0.072 0.361 [4 per cell]
Mg 0.000 0.000 0.000 [2 per cell]
H 0.228 0.637 0.345 [4 per cell]
H 0.236 0.052 0.818 [4 per cell]
H 0.239 0.724 0.016 [4 per cell]
H 0.330 0.698 0.641 [4 per cell]
S 0.376 0.209 0.636 [4 per cell]
O 0.130 0.536 0.338 [4 per cell]
O 0.181 0.711 0.578 [4 per cell]
O 0.219 0.078 0.579 [4 per cell]
O 0.305 0.136 0.075 [4 per cell]
O 0.361 0.677 0.873 [4 per cell]
O 0.362 0.221 0.768 [4 per cell]

Principal peaks in the range 2θ from 5° to 70°, most intense first:
2theta  d/Å  I/Imax  hkl
27.12  3.288  100.0  1 1 2
26.82  3.324  99.7  1 2 0
19.26  4.608  75.0  0 1 2
19.38  4.580  40.4  1 1 0
20.70  4.290  32.4  1 0 -2
32.43  2.761  32.4  0 0 4
29.83  2.995  31.7  1 2 -2
33.64  2.664  28.9  1 0 -4
23.30  3.817  24.7  1 1 -2
44.07  2.055  21.5  0 4 1
34.48  2.601  18.0  2 1 0
54.91  1.672  15.5  2 0 -6


No. 3
Starting from a structure optimized by DFT (GGA-PBE), the XRD peak list of Cr4S3N2 was simulated for Cu Kα (weighted mean of Kα1 and Kα2).
Kinematic intensities with the Lorentz-polarization factor, no thermal factor.

Structure:
Unit cell a=11.235 b=3.137 c=8.467 alpha=90.00 beta=128.74 gamma=90.00
Space group C2/m (No. 12)
Asymmetric unit:
Cr 0.160 0.000 0.355 [4 per cell]
Cr 0.230 0.500 0.114 [4 per cell]
S 0.000 0.000 0.000 [2 per cell]
S 0.088 0.500 0.774 [4 per cell]
N 0.241 0.000 0.632 [4 per cell]

Principal peaks in the range 2θ from 5° to 70°, most intense first:
2theta  d/Å  I/Imax  hkl
37.84  2.378  100.0  3 1 -1
20.27  4.382  41.3  2 0 0
45.31  2.002  35.0  1 1 2
44.95  2.016  32.7  2 0 -4
63.02  1.475  24.8  5 1 -5
38.27  2.352  22.2  3 1 -2
21.27  4.178  17.2  2 0 -2
51.52  1.774  16.2  4 0 1
58.88  1.568  15.9  0 2 0
32.11  2.788  15.0  2 0 -3
57.23  1.610  14.4  1 1 3
13.41  6.604  13.3  0 0 1